[1]
For Mn5H8SO12, the PBE+U geometry in the Materials Project gives the simulated powder diffraction line list in this record (CuKα).
Peak positions follow from Bragg's law for the DFT cell and can differ from measured ones.

The 10 most intense peaks (2θ from 5° to 70°), in order of rising 2θ:
2θ (°)  d (Å)  I_rel  h k l
12.5  7.097  100  1 0 0
12.9  6.886  48  0 1 -1
14.8  5.975  86  1 -1 0
16.3  5.440  39  0 1 1
17.5  5.057  31  1 1 0
21.0  4.235  39  0 2 -1
24.7  3.604  34  1 -2 1
28.8  3.098  44  2 1 0
30.7  2.915  78  0 1 -3
50.8  1.797  39  4 1 -3

Atomic structure:
Cell lengths 7.685, 8.819, 9.392 Å; angles 100.65, 110.48, 95.17 degrees
Fractional positions:
Mn: 0.005 0.404 0.310
Mn: 0.007 0.665 0.029
Mn: 0.051 0.247 0.631
Mn: 0.299 0.063 0.226
Mn: 0.314 0.956 0.882
Mn: 0.686 0.044 0.118
Mn: 0.701 0.937 0.774
Mn: 0.949 0.753 0.369
Mn: 0.993 0.335 0.971
Mn: 0.995 0.596 0.690
H: 0.063 0.905 0.968
H: 0.213 0.150 0.608
H: 0.285 0.758 0.656
H: 0.286 0.429 0.600
H: 0.296 0.358 0.236
H: 0.362 0.069 0.785
H: 0.403 0.579 0.938
H: 0.469 0.640 0.928
H: 0.531 0.360 0.072
H: 0.597 0.421 0.062
H: 0.638 0.931 0.215
H: 0.704 0.642 0.764
H: 0.714 0.571 0.400
H: 0.715 0.242 0.344
H: 0.787 0.850 0.392
H: 0.937 0.095 0.032
S: 0.388 0.732 0.407
S: 0.612 0.268 0.593
O: 0.060 0.028 0.825
O: 0.083 0.509 0.903
O: 0.085 0.193 0.831
O: 0.147 0.421 0.564
O: 0.168 0.854 0.021
O: 0.178 0.284 0.199
O: 0.185 0.660 0.377
O: 0.185 0.789 0.692
O: 0.381 0.876 0.348
O: 0.446 0.101 0.078
O: 0.466 0.612 0.330
O: 0.486 0.771 0.580
O: 0.514 0.229 0.420
O: 0.534 0.388 0.670
O: 0.554 0.899 0.922
O: 0.619 0.124 0.652
O: 0.815 0.211 0.308
O: 0.815 0.340 0.623
O: 0.822 0.716 0.801
O: 0.832 0.146 0.979
O: 0.853 0.579 0.436
O: 0.915 0.807 0.169
O: 0.917 0.491 0.097
O: 0.940 0.972 0.175

=====

[2]
For MnH2SO4, the PBE+U geometry in the Materials Project gives the simulated powder diffraction line list in this record (CuKα).
Peak positions follow from Bragg's law for the DFT cell and can differ from measured ones.

The 10 most intense peaks (2θ from 5° to 70°), in order of rising 2θ:
2θ (°)  d (Å)  I_rel  h k l
13.2  6.721  100  0 2 0
19.9  4.453  15  0 2 1
22.1  4.027  12  1 2 -1
26.6  3.346  18  1 3 -1
26.9  3.319  19  1 2 -2
30.1  2.972  14  0 0 2
30.6  2.925  37  1 3 0
30.8  2.904  30  0 1 2
35.6  2.523  22  1 4 -2
49.7  1.836  12  2 5 -2

Atomic structure:
Cell lengths 5.030, 13.443, 7.742 Å; angles 90.00, 129.83, 90.00 degrees
Fractional positions:
Mn: 0.186 0.236 0.310
Mn: 0.186 0.264 0.810
Mn: 0.814 0.736 0.190
Mn: 0.814 0.764 0.690
H: 0.025 0.532 0.207
H: 0.025 0.968 0.707
H: 0.256 0.598 0.181
H: 0.256 0.902 0.681
H: 0.744 0.098 0.319
H: 0.744 0.402 0.819
H: 0.975 0.032 0.293
H: 0.975 0.468 0.793
S: 0.248 0.616 0.692
S: 0.248 0.884 0.192
S: 0.752 0.116 0.808
S: 0.752 0.384 0.308
O: 0.060 0.599 0.179
O: 0.060 0.901 0.679
O: 0.083 0.175 0.009
O: 0.083 0.325 0.509
O: 0.316 0.674 0.895
O: 0.316 0.826 0.395
O: 0.462 0.142 0.810
O: 0.462 0.358 0.310
O: 0.538 0.642 0.690
O: 0.538 0.858 0.190
O: 0.684 0.174 0.605
O: 0.684 0.326 0.105
O: 0.917 0.675 0.491
O: 0.917 0.825 0.991
O: 0.940 0.099 0.321
O: 0.940 0.401 0.821